# PrSm2Ag6
Simulated powder diffraction line list, Cu Kα (λ = 1.5418 Å). Input: a GGA-PBE-relaxed structure.
Neutral-atom scattering factors, no anomalous dispersion.

Principal peaks in the range 15 to 90 degrees two-theta, by angle:
- 33.17 deg, intensity 1000
- 37.42 deg, intensity 738
- 45.58 deg, intensity 34
- 50.85 deg, intensity 293
- 51.49 deg, intensity 96
- 64.81 deg, intensity 277
- 65.36 deg, intensity 274
- 67.50 deg, intensity 124
- 79.80 deg, intensity 77
- 85.28 deg, intensity 70
- 89.19 deg, intensity 120
- 89.69 deg, intensity 120

Crystal structure
Unit cell a=8.326 b=8.326 c=3.550 alpha=90.00 beta=90.00 gamma=120.00
Sites, in units of the cell vectors:
Pr (0.000, 0.000, 0.000)
Sm (0.333, 0.667, 0.000)
Sm (0.667, 0.333, 0.000)
Ag (0.000, 0.335, 0.500)
Ag (0.000, 0.665, 0.500)
Ag (0.335, 0.000, 0.500)
Ag (0.335, 0.335, 0.500)
Ag (0.665, 0.000, 0.500)
Ag (0.665, 0.665, 0.500)

***

# PrAg4Sn2
Simulated powder diffraction line list, Cu Kα (λ = 1.5418 Å). Input: a GGA-PBE-relaxed structure.
Neutral-atom scattering factors, no anomalous dispersion.

Principal peaks in the range 15 to 90 degrees two-theta, by angle:
- 30.57 deg, intensity 271
- 30.99 deg, intensity 995
- 34.29 deg, intensity 456
- 36.38 deg, intensity 815
- 39.05 deg, intensity 561
- 39.61 deg, intensity 1000
- 45.20 deg, intensity 290
- 52.92 deg, intensity 254
- 59.35 deg, intensity 236
- 61.23 deg, intensity 234
- 71.09 deg, intensity 302
- 84.68 deg, intensity 169

Crystal structure
Unit cell a=8.271 b=8.271 c=4.614 alpha=90.00 beta=90.00 gamma=90.00
Sites, in units of the cell vectors:
Pr (0.000, 0.000, 0.000)
Pr (0.500, 0.500, 0.500)
Ag (0.098, 0.353, 0.500)
Ag (0.147, 0.598, 0.000)
Ag (0.353, 0.098, 0.500)
Ag (0.402, 0.853, 0.000)
Ag (0.598, 0.147, 0.000)
Ag (0.647, 0.902, 0.500)
Ag (0.853, 0.402, 0.000)
Ag (0.902, 0.647, 0.500)
Sn (0.213, 0.787, 0.500)
Sn (0.287, 0.287, 0.000)
Sn (0.713, 0.713, 0.000)
Sn (0.787, 0.213, 0.500)

***

# Pr8AgSn2
Simulated powder diffraction line list, Cu Kα (λ = 1.5418 Å). Input: a GGA-PBE-relaxed structure.
Neutral-atom scattering factors, no anomalous dispersion.

Principal peaks in the range 15 to 90 degrees two-theta, by angle:
- 27.35 deg, intensity 513
- 27.77 deg, intensity 275
- 28.69 deg, intensity 696
- 30.62 deg, intensity 1000
- 31.33 deg, intensity 226
- 32.70 deg, intensity 408
- 34.13 deg, intensity 939
- 34.68 deg, intensity 237
- 36.06 deg, intensity 496
- 53.91 deg, intensity 187
- 62.01 deg, intensity 221
- 65.35 deg, intensity 232

Crystal structure
Unit cell a=10.349 b=10.349 c=7.054 alpha=104.79 beta=104.79 gamma=29.41
Sites, in units of the cell vectors:
Pr (0.017, 0.017, 0.275)
Pr (0.214, 0.214, 0.818)
Pr (0.346, 0.346, 0.505)
Pr (0.407, 0.407, 0.022)
Pr (0.593, 0.593, 0.978)
Pr (0.654, 0.654, 0.495)
Pr (0.786, 0.786, 0.182)
Pr (0.983, 0.983, 0.725)
Ag (0.500, 0.500, 0.500)
Sn (0.180, 0.180, 0.251)
Sn (0.820, 0.820, 0.749)

***

# Pr2Ag3Sn2
Simulated powder diffraction line list, Cu Kα (λ = 1.5418 Å). Input: a GGA-PBE-relaxed structure.
Neutral-atom scattering factors, no anomalous dispersion.

Principal peaks in the range 15 to 90 degrees two-theta, by angle:
- 26.34 deg, intensity 143
- 27.07 deg, intensity 107
- 30.80 deg, intensity 223
- 31.77 deg, intensity 1000
- 34.05 deg, intensity 233
- 35.60 deg, intensity 546
- 36.67 deg, intensity 656
- 36.94 deg, intensity 114
- 38.17 deg, intensity 479
- 52.06 deg, intensity 197
- 61.23 deg, intensity 175
- 65.03 deg, intensity 142

Crystal structure
Unit cell a=11.257 b=4.716 c=7.040 alpha=90.00 beta=110.66 gamma=90.00
Sites, in units of the cell vectors:
Pr (0.147, 0.000, 0.252)
Pr (0.353, 0.500, 0.748)
Pr (0.647, 0.500, 0.252)
Pr (0.853, 0.000, 0.748)
Ag (0.000, 0.500, 0.500)
Ag (0.101, 0.500, 0.929)
Ag (0.399, 0.000, 0.071)
Ag (0.500, 0.000, 0.500)
Ag (0.601, 0.000, 0.929)
Ag (0.899, 0.500, 0.071)
Sn (0.146, 0.000, 0.730)
Sn (0.354, 0.500, 0.270)
Sn (0.646, 0.500, 0.730)
Sn (0.854, 0.000, 0.270)

***

What is the formula in the fourth record? Pr2Ag3Sn2

***

Please write out number 3 again, unchanged.
# Pr8AgSn2
Simulated powder diffraction line list, Cu Kα (λ = 1.5418 Å). Input: a GGA-PBE-relaxed structure.
Neutral-atom scattering factors, no anomalous dispersion.

Principal peaks in the range 15 to 90 degrees two-theta, by angle:
- 27.35 deg, intensity 513
- 27.77 deg, intensity 275
- 28.69 deg, intensity 696
- 30.62 deg, intensity 1000
- 31.33 deg, intensity 226
- 32.70 deg, intensity 408
- 34.13 deg, intensity 939
- 34.68 deg, intensity 237
- 36.06 deg, intensity 496
- 53.91 deg, intensity 187
- 62.01 deg, intensity 221
- 65.35 deg, intensity 232

Crystal structure
Unit cell a=10.349 b=10.349 c=7.054 alpha=104.79 beta=104.79 gamma=29.41
Sites, in units of the cell vectors:
Pr (0.017, 0.017, 0.275)
Pr (0.214, 0.214, 0.818)
Pr (0.346, 0.346, 0.505)
Pr (0.407, 0.407, 0.022)
Pr (0.593, 0.593, 0.978)
Pr (0.654, 0.654, 0.495)
Pr (0.786, 0.786, 0.182)
Pr (0.983, 0.983, 0.725)
Ag (0.500, 0.500, 0.500)
Sn (0.180, 0.180, 0.251)
Sn (0.820, 0.820, 0.749)